No. 1
The following is a simulated X-ray diffraction stick pattern of La4Sm5Th. It was derived from a crystal structure in Alexandria, relaxed with GGA-PBE, using Cu Kα (λ = 1.5418 Å).
Peak positions follow from Bragg's law for the DFT cell and can differ from measured ones.

Crystal structure
Unit cell a=19.043 b=3.666 c=10.379 alpha=90.00 beta=105.81 gamma=90.00
Space group C2/m (No. 12)
One atom of each set of equivalent atoms:
La1 0.098 0.000 0.295 [4 per cell]
La2 0.198 0.500 0.101 [4 per cell]
Sm1 0.000 0.500 0.500 [2 per cell]
Sm2 0.097 0.000 0.803 [4 per cell]
Sm3 0.199 0.500 0.598 [4 per cell]
Th1 0.000 0.500 0.000 [2 per cell]

Top 8 peaks for 2θ = 15–90°, low angle first:
- 29.84 deg, 2.994 Å, I 100
- 34.60 deg, 2.593 Å, I 51
- 49.73 deg, 1.833 Å, I 36
- 59.09 deg, 1.563 Å, I 43
- 62.00 deg, 1.497 Å, I 12
- 73.02 deg, 1.296 Å, I 4
- 80.79 deg, 1.190 Å, I 18
- 83.34 deg, 1.160 Å, I 14

---

No. 2
The following is a simulated X-ray diffraction stick pattern of Pr5Hg2Au. It was derived from a crystal structure in Alexandria, relaxed with GGA-PBE, using Cu Kα (λ = 1.5418 Å).
Peak positions follow from Bragg's law for the DFT cell and can differ from measured ones.

Crystal structure
Unit cell a=6.864 b=13.168 c=5.338 alpha=90.00 beta=90.00 gamma=90.00
Space group Pbam (No. 55)
One atom of each set of equivalent atoms:
Pr1 0.000 0.000 0.000 [2 per cell]
Pr2 0.147 0.283 0.000 [4 per cell]
Pr3 0.155 0.606 0.500 [4 per cell]
Hg1 0.113 0.854 0.500 [4 per cell]
Au1 0.000 0.500 0.000 [2 per cell]

Top 8 peaks for 2θ = 15–90°, low angle first:
- 29.36 deg, 3.042 Å, I 26
- 31.73 deg, 2.820 Å, I 88
- 31.94 deg, 2.802 Å, I 100
- 33.13 deg, 2.704 Å, I 27
- 33.58 deg, 2.669 Å, I 59
- 33.91 deg, 2.644 Å, I 27
- 47.91 deg, 1.899 Å, I 24
- 55.90 deg, 1.645 Å, I 21